This entry pairs a crystal structure of TlIn2TeS2 with its simulated powder XRD pattern. Radiation: Cu Kα, 1.54184 Å. Structure: a cell relaxed with GGA-PBE.
No peak broadening, texture or thermal motion is included.

Largest 6 diffraction maxima, in order of rising 2θ, 2θ = 10–90°:
- 12.8°, intensity 25
- 17.8°, intensity 26
- 22.0°, intensity 41
- 27.9°, intensity 23
- 28.7°, intensity 100
- 31.3°, intensity 26

```
12
Lattice="7.2213 0.0000 0.0000 0.0000 7.1804 0.0000 -2.4962 0.0000 8.0890" Properties=species:S:1:pos:R:3 pbc="T T T"
Tl 0.9284 1.7951 2.3316
Tl 3.7967 5.3853 5.7573
In 0.2800 0.1426 6.9197
In 0.2800 3.4476 6.9197
In 4.4451 3.7329 1.1693
In 4.4451 7.0378 1.1693
Te 2.5095 5.3853 2.5348
Te 2.2155 1.7951 5.5542
S -1.5484 1.7951 7.3576
S -0.3805 5.3853 5.5402
S 5.1056 1.7951 2.5487
S 6.2735 5.3853 0.7313
```

This entry pairs a crystal structure of Tl5InS5 with its simulated powder XRD pattern. Radiation: Cu Kα, 1.54184 Å. Structure: a cell relaxed with GGA-PBE.
No peak broadening, texture or thermal motion is included.

Largest 6 diffraction maxima, in order of rising 2θ, 2θ = 10–90°:
- 25.6°, intensity 100
- 26.4°, intensity 99
- 28.9°, intensity 72
- 29.1°, intensity 60
- 32.2°, intensity 51
- 43.9°, intensity 48

```
11
Lattice="6.2487 -3.0853 0.0000 6.2487 3.0853 0.0000 -2.0292 0.0000 8.2018" Properties=species:S:1:pos:R:3 pbc="T T T"
Tl 0.0000 0.0000 0.0000
Tl 2.7483 0.0000 5.1729
Tl 3.9712 0.0000 1.3145
Tl 6.4970 0.0000 6.8873
Tl 7.7199 0.0000 3.0290
In -1.0146 0.0000 4.1009
S 0.3036 0.0000 6.3074
S 1.2937 0.0000 2.7797
S 5.2341 0.0000 4.1009
S 9.1745 0.0000 5.4222
S 10.1646 0.0000 1.8944
```

This entry pairs a crystal structure of TlIn5S6 with its simulated powder XRD pattern. Radiation: Cu Kα, 1.54184 Å. Structure: a cell relaxed with GGA-PBE.
No peak broadening, texture or thermal motion is included.

Largest 6 diffraction maxima, in order of rising 2θ, 2θ = 10–90°:
- 23.1°, intensity 100
- 25.2°, intensity 53
- 27.0°, intensity 49
- 32.4°, intensity 36
- 35.3°, intensity 44
- 45.6°, intensity 36

```
24
Lattice="8.9178 0.0000 0.0000 0.0000 3.9795 0.0000 -1.5724 0.0000 17.8721" Properties=species:S:1:pos:R:3 pbc="T T T"
Tl 0.8306 0.9949 3.8077
Tl 6.5147 2.9846 14.0644
In 0.6826 2.9846 8.1416
In 1.7207 0.9949 0.0360
In 1.2999 2.9846 12.2320
In 2.0581 0.9949 15.8258
In 3.5357 0.9949 6.8484
In 3.8097 2.9846 11.0237
In 5.2873 2.9846 2.0463
In 6.0454 0.9949 5.6401
In 5.6246 2.9846 17.8361
In 6.6627 0.9949 9.7305
S -0.6130 2.9846 10.4729
S 0.7425 2.9846 1.3054
S 0.5520 0.9949 13.6618
S 2.1113 2.9846 5.9401
S 2.2085 0.9949 9.0158
S 3.7680 0.9949 2.2935
S 3.5773 2.9846 15.5786
S 5.1369 2.9846 8.8563
S 5.2340 0.9949 11.9320
S 6.7933 2.9846 4.2103
S 6.6029 0.9949 16.5667
S 7.9584 0.9949 7.3992
```

This entry pairs a crystal structure of Tl3In2S6 with its simulated powder XRD pattern. Radiation: Cu Kα, 1.54184 Å. Structure: a cell relaxed with GGA-PBE.
No peak broadening, texture or thermal motion is included.

Largest 6 diffraction maxima, in order of rising 2θ, 2θ = 10–90°:
- 22.3°, intensity 22
- 26.7°, intensity 39
- 28.1°, intensity 30
- 30.9°, intensity 100
- 42.5°, intensity 36
- 45.9°, intensity 34

```
11
Lattice="1.9765 1.1412 19.9359 -1.9765 1.1412 19.9359 0.0000 -2.2823 19.9359" Properties=species:S:1:pos:R:3 pbc="T T T"
Tl 0.0000 0.0000 0.0000
Tl 0.0000 0.0000 16.3180
Tl 0.0000 0.0000 43.4896
In 0.0000 0.0000 27.0938
In 0.0000 0.0000 32.7138
S 0.0000 0.0000 5.4509
S 0.0000 0.0000 11.5870
S 0.0000 0.0000 21.5051
S 0.0000 0.0000 38.3025
S 0.0000 0.0000 48.2206
S 0.0000 0.0000 54.3567
```